# 1
The following is a calculated powder X-ray diffraction pattern of GaAgGe. It was derived from a cell relaxed with PBE, using λ = 1.5418 Å (Cu Kα).
Intensities are scaled so that the largest is 100.

Structure:
Cell: 5.0113 8.9620 5.2277 Å, 90.00 108.88 90.00°
Space group C2 (No. 5)
Unique sites:
Ga 0.0000 0.0000 0.0000 [2 per cell]
Ga 0.0000 0.3364 0.0000 [2 per cell]
Ag 0.0000 0.5068 0.5000 [2 per cell]
Ag 0.0000 0.6628 0.0000 [2 per cell]
Ge 0.0000 0.1711 0.5000 [2 per cell]
Ge 0.0000 0.8350 0.5000 [2 per cell]

Principal peaks in the range 10 to 90 degrees two-theta, most intense first:
2θ (°)	d_spacing	Rel. int.	hkl
37.0	2.427	100.0	1 3 -1
42.9	2.108	65.6	1 3 1
36.3	2.473	53.1	0 0 2
38.0	2.371	46.9	2 0 0
43.5	2.081	31.6	2 0 -2
61.6	1.505	21.4	1 3 -3
63.8	1.458	19.2	3 3 -1
74.1	1.279	18.3	2 0 -4
73.8	1.283	12.4	1 3 3
75.2	1.264	11.6	2 6 0

# 2
The following is a calculated powder X-ray diffraction pattern of Zr3Hg. It was derived from a cell relaxed with PBE, using λ = 1.5418 Å (Cu Kα).
Intensities are scaled so that the largest is 100.

Structure:
Cell: 3.2623 4.1002 6.6581 Å, 90.00 90.00 90.00°
Space group Pmmm (No. 47)
Unique sites:
Zr 0.0000 0.0000 0.0000 [1 per cell]
Zr 0.5000 0.5000 0.2509 [2 per cell]
Hg 0.0000 0.0000 0.5000 [1 per cell]

Principal peaks in the range 10 to 90 degrees two-theta, most intense first:
2θ (°)	d_spacing	Rel. int.	hkl
34.7	2.584	100.0	0 1 2
35.2	2.553	96.6	1 1 0
38.6	2.330	74.4	1 0 2
60.1	1.539	40.2	1 2 2
67.1	1.394	28.8	1 1 4
68.0	1.379	27.7	2 1 2
44.2	2.050	25.4	0 2 0
13.3	6.658	21.8	0 0 1
55.2	1.665	13.1	0 0 4
56.4	1.631	12.2	2 0 0

# 3
The following is a calculated powder X-ray diffraction pattern of BiPIrSN. It was derived from a cell relaxed with PBE, using λ = 1.5418 Å (Cu Kα).
Intensities are scaled so that the largest is 100.

Structure:
Cell: 3.6884 3.6884 22.1434 Å, 90.00 90.00 120.00°
Space group R3m (No. 160, hexagonal axes)
Unique sites:
Bi 0.0000 0.0000 0.0000 [3 per cell]
P 0.0000 0.0000 0.2066 [3 per cell]
Ir 0.0000 0.0000 0.8300 [3 per cell]
S 0.0000 0.0000 0.4337 [3 per cell]
N 0.0000 0.0000 0.2850 [3 per cell]

Principal peaks in the range 10 to 90 degrees two-theta, most intense first:
2θ (°)	d_spacing	Rel. int.	hkl
34.6	2.591	100.0	0 1 5
28.2	3.162	88.9	1 0 1
24.1	3.691	68.3	0 0 6
49.4	1.844	60.4	1 1 0
40.1	2.248	46.1	1 0 7
55.7	1.650	44.6	1 1 6
29.1	3.069	37.1	0 1 2
61.7	1.503	32.0	2 0 5
32.4	2.767	26.7	1 0 4
53.8	1.703	25.0	0 1 11

# 4
The following is a calculated powder X-ray diffraction pattern of Pr4Bi3Se. It was derived from a cell relaxed with PBE, using λ = 1.5418 Å (Cu Kα).
Intensities are scaled so that the largest is 100.

Structure:
Cell: 7.8828 9.1378 7.8843 Å, 90.00 109.53 90.00°
Space group P2/c (No. 13)
Unique sites:
Pr 0.2410 0.1201 0.0011 [4 per cell]
Pr 0.2460 0.3698 0.4944 [4 per cell]
Bi 0.0000 0.3739 0.7500 [2 per cell]
Bi 0.5000 0.1245 0.7500 [2 per cell]
Bi 0.5000 0.3745 0.2500 [2 per cell]
Se 0.0000 0.1231 0.2500 [2 per cell]

Principal peaks in the range 10 to 90 degrees two-theta, most intense first:
2θ (°)	d_spacing	Rel. int.	hkl
27.7	3.222	100.0	1 2 1
39.6	2.277	64.8	2 0 2
64.7	1.441	24.5	0 4 4
48.9	1.863	14.2	2 4 -2
49.0	1.858	14.1	0 0 4
71.9	1.314	13.6	1 2 5
57.2	1.611	13.3	2 4 2
39.4	2.284	13.1	0 4 0
71.6	1.318	9.1	1 6 -3
64.5	1.444	6.2	1 6 1

# 5
The following is a calculated powder X-ray diffraction pattern of Ti3Pd3Rh. It was derived from a cell relaxed with PBE, using λ = 1.5418 Å (Cu Kα).
Intensities are scaled so that the largest is 100.

Structure:
Cell: 6.2447 8.1788 8.8217 Å, 90.00 94.02 90.00°
Space group C2/m (No. 12)
Unique sites:
Ti 0.1750 0.1953 0.2738 [8 per cell]
Ti 0.2222 0.0000 0.9514 [4 per cell]
Pd 0.0000 0.2567 0.0000 [4 per cell]
Pd 0.0000 0.3253 0.5000 [4 per cell]
Pd 0.1357 0.0000 0.6282 [4 per cell]
Rh 0.0324 0.5000 0.7766 [4 per cell]

Principal peaks in the range 10 to 90 degrees two-theta, most intense first:
2θ (°)	d_spacing	Rel. int.	hkl
37.1	2.421	100.0	1 3 -1
42.9	2.109	95.4	2 2 2
41.0	2.199	87.3	1 3 -2
36.5	2.465	70.3	1 1 3
40.8	2.213	46.3	2 2 -2
29.8	2.996	39.0	0 2 2
45.0	2.013	34.5	3 1 0
28.7	3.115	29.3	2 0 0
44.3	2.045	27.6	0 4 0
44.1	2.054	25.9	1 1 -4

# 6
The following is a calculated powder X-ray diffraction pattern of Rb2HfMoBr6. It was derived from a cell relaxed with PBE, using λ = 1.5418 Å (Cu Kα).
Intensities are scaled so that the largest is 100.

Structure:
Cell: 10.6343 10.6343 10.6343 Å, 90.00 90.00 90.00°
Space group Fm-3m (No. 225)
Unique sites:
Rb 0.2500 0.2500 0.2500 [8 per cell]
Hf 0.0000 0.0000 0.0000 [4 per cell]
Mo 0.0000 0.0000 0.5000 [4 per cell]
Br 0.0000 0.0000 0.2499 [24 per cell]

Principal peaks in the range 10 to 90 degrees two-theta, most intense first:
2θ (°)	d_spacing	Rel. int.	hkl
33.7	2.659	100.0	4 0 0
48.4	1.880	70.6	4 4 0
16.7	5.317	45.3	2 0 0
23.7	3.760	44.7	2 2 0
29.1	3.070	34.9	2 2 2
80.8	1.189	31.7	8 4 0
60.3	1.535	24.2	4 4 4
37.8	2.378	23.1	4 2 0
41.6	2.171	20.2	4 2 2
57.5	1.603	14.2	6 2 2